1.
# HoBPd3
Calculated powder XRD pattern, a wavelength of 1.5418 Å. Input: the PBE geometry in the Materials Project.

Cell and atoms:
```
HoBPd3
1.0
4.3122 0.0000 0.0000
0.0000 4.3122 0.0000
0.0000 0.0000 4.3122
Ho B Pd
1 1 3
Cartesian
0.0000 0.0000 0.0000
2.1561 2.1561 2.1561
0.0000 2.1561 2.1561
2.1561 0.0000 2.1561
2.1561 2.1561 0.0000
```

Main lines, in order of falling intensity (2θ from 10° to 90°):
36.1 deg, I 100, hkl 1 1 1
41.9 deg, I 52, hkl 2 0 0
72.7 deg, I 38, hkl 3 1 1
60.7 deg, I 34, hkl 2 2 0
76.5 deg, I 12, hkl 2 2 2
29.3 deg, I 4, hkl 1 1 0
20.6 deg, I 2, hkl 1 0 0
51.9 deg, I 2, hkl 2 1 1
47.1 deg, I 1, hkl 2 1 0
84.0 deg, I 1, hkl 3 2 1

2.
# HoReB4
Calculated powder XRD pattern, a wavelength of 1.5418 Å. Input: the PBE geometry in the Materials Project.

Cell and atoms:
```
HoReB4
1.0
5.9655 0.0000 0.0000
0.0000 11.5408 0.0000
0.0000 0.0000 3.6076
Ho Re B
4 4 16
Cartesian
0.7560 1.7313 0.0000
2.2268 7.5017 0.0000
3.7387 4.0391 0.0000
5.2096 9.8096 0.0000
0.7960 4.7578 0.0000
2.1868 10.5282 0.0000
3.7788 1.0126 0.0000
5.1695 6.7831 0.0000
0.1363 7.9915 1.8038
0.6796 6.3181 1.8038
0.8099 11.1786 1.8038
1.2658 9.4056 1.8038
1.7169 3.6352 1.8038
2.1729 5.4081 1.8038
2.3032 0.5476 1.8038
2.8465 2.2211 1.8038
3.1190 9.3197 1.8038
3.6624 10.9932 1.8038
3.7927 6.1327 1.8038
4.2486 7.9056 1.8038
4.6997 2.1352 1.8038
5.1556 0.3623 1.8038
5.2859 5.2228 1.8038
5.8293 3.5493 1.8038
```

Main lines, in order of falling intensity (2θ from 10° to 90°):
40.0 deg, I 100, hkl 0 4 1
24.7 deg, I 97, hkl 0 0 1
31.0 deg, I 84, hkl 0 4 0
46.0 deg, I 45, hkl 2 3 1
38.2 deg, I 33, hkl 2 3 0
42.9 deg, I 32, hkl 1 4 1
60.5 deg, I 26, hkl 0 4 2
34.5 deg, I 25, hkl 1 4 0
50.6 deg, I 21, hkl 0 0 2
62.3 deg, I 16, hkl 4 0 0

3.
# Ho2B6Rh9
Calculated powder XRD pattern, a wavelength of 1.5418 Å. Input: the PBE geometry in the Materials Project.

Cell and atoms:
```
Ho2B6Rh9
1.0
5.5907 0.0000 0.0000
-2.7953 4.8417 0.0000
0.0000 0.0000 8.5628
Ho B Rh
2 6 9
Cartesian
0.0000 0.0000 1.7522
0.0000 0.0000 6.8106
0.0000 3.2278 1.4333
0.0000 3.2278 4.2814
0.0000 3.2278 7.1294
2.7953 1.6139 1.4333
2.7953 1.6139 4.2814
2.7953 1.6139 7.1294
-1.3977 2.4208 0.0000
-1.3977 2.4208 2.8738
-1.3977 2.4208 5.6890
2.7953 0.0000 0.0000
2.7953 0.0000 2.8738
2.7953 0.0000 5.6890
1.3977 2.4208 0.0000
1.3977 2.4208 2.8738
1.3977 2.4208 5.6890
```

Main lines, in order of falling intensity (2θ from 10° to 90°):
37.1 deg, I 100, hkl 2 0 0
36.5 deg, I 39, hkl 1 0 3
49.4 deg, I 29, hkl 2 0 3
45.4 deg, I 26, hkl 1 1 3
66.9 deg, I 22, hkl 2 2 0
27.8 deg, I 21, hkl 1 0 2
60.1 deg, I 18, hkl 2 1 3
31.3 deg, I 15, hkl 0 0 3
77.7 deg, I 13, hkl 2 0 6
79.1 deg, I 11, hkl 4 0 0

4.
# HoB4Rh4
Calculated powder XRD pattern, a wavelength of 1.5418 Å. Input: the PBE geometry in the Materials Project.

Cell and atoms:
```
HoB4Rh4
1.0
5.3344 0.0000 0.0000
0.0000 5.3344 0.0000
0.0000 0.0000 7.4425
Ho B Rh
2 8 8
Cartesian
1.3336 4.0008 1.8606
4.0008 1.3336 5.5819
0.4299 1.3336 0.7378
1.3336 0.4299 4.4591
1.3336 2.2373 4.4591
2.2373 1.3336 0.7378
3.0971 4.0008 6.7047
4.0008 3.0971 2.9835
4.0008 4.9045 2.9835
4.9045 4.0008 6.7047
0.0060 4.0008 4.5056
1.3336 2.6732 6.6582
1.3336 5.3285 6.6582
2.6613 4.0008 4.5056
2.6732 1.3336 2.9369
4.0008 0.0060 0.7843
4.0008 2.6613 0.7843
5.3285 1.3336 2.9369
```

Main lines, in order of falling intensity (2θ from 10° to 90°):
39.7 deg, I 100, hkl 2 1 1
35.8 deg, I 73, hkl 2 0 1
40.1 deg, I 71, hkl 1 0 3
29.3 deg, I 41, hkl 1 0 2
45.1 deg, I 32, hkl 2 1 2
71.2 deg, I 29, hkl 2 2 4
33.8 deg, I 24, hkl 1 1 2
23.6 deg, I 23, hkl 1 1 0
64.2 deg, I 23, hkl 3 2 1
64.5 deg, I 19, hkl 3 0 3

5.
# HoBRh3
Calculated powder XRD pattern, a wavelength of 1.5418 Å. Input: the PBE geometry in the Materials Project.

Cell and atoms:
```
HoBRh3
1.0
4.2012 0.0000 0.0000
0.0000 4.2012 0.0000
0.0000 0.0000 4.2012
Ho B Rh
1 1 3
Cartesian
0.0000 0.0000 0.0000
2.1006 2.1006 2.1006
0.0000 2.1006 2.1006
2.1006 0.0000 2.1006
2.1006 2.1006 0.0000
```

Main lines, in order of falling intensity (2θ from 10° to 90°):
37.1 deg, I 100, hkl 1 1 1
43.1 deg, I 52, hkl 2 0 0
75.0 deg, I 38, hkl 3 1 1
62.5 deg, I 34, hkl 2 2 0
78.9 deg, I 12, hkl 2 2 2
30.1 deg, I 5, hkl 1 1 0
21.1 deg, I 3, hkl 1 0 0
53.4 deg, I 2, hkl 2 1 1
48.4 deg, I 2, hkl 2 1 0
86.7 deg, I 1, hkl 3 2 1

6.
# HoB4Ru
Calculated powder XRD pattern, a wavelength of 1.5418 Å. Input: the PBE geometry in the Materials Project.

Cell and atoms:
```
HoB4Ru
1.0
5.9485 0.0000 0.0000
0.0000 11.5056 0.0000
0.0000 0.0000 3.5498
Ho B Ru
4 16 4
Cartesian
0.7661 1.7239 0.0000
2.2081 7.4767 0.0000
3.7403 4.0289 0.0000
5.1824 9.7817 0.0000
0.1414 7.9619 1.7749
0.6679 6.2922 1.7749
0.8077 11.1580 1.7749
1.2516 9.3701 1.7749
1.7226 3.6173 1.7749
2.1665 5.4052 1.7749
2.3063 0.5393 1.7749
2.8328 2.2091 1.7749
3.1157 9.2966 1.7749
3.6422 10.9663 1.7749
3.7820 6.1005 1.7749
4.2259 7.8884 1.7749
4.6968 2.1355 1.7749
5.1407 0.3477 1.7749
5.2806 5.2135 1.7749
5.8071 3.5437 1.7749
0.8365 4.6855 0.0000
2.1377 10.4383 0.0000
3.8107 1.0673 0.0000
5.1120 6.8201 0.0000
```

Main lines, in order of falling intensity (2θ from 10° to 90°):
40.3 deg, I 100, hkl 0 4 1
31.1 deg, I 83, hkl 0 4 0
25.1 deg, I 76, hkl 0 0 1
46.3 deg, I 27, hkl 2 3 1
61.4 deg, I 24, hkl 0 4 2
43.2 deg, I 24, hkl 1 4 1
37.7 deg, I 20, hkl 1 3 1
38.3 deg, I 19, hkl 2 3 0
34.6 deg, I 18, hkl 1 4 0
27.7 deg, I 18, hkl 1 3 0